Starting from a crystal structure in the Materials Project, relaxed with PBE+U, the X-ray powder pattern of P4WO12 was computed for a wavelength of 1.5418 Å.
Peak positions follow from Bragg's law for the DFT cell and can differ from measured ones.

Structural model:
```
P4WO12
1.0
6.392 -4.193 0.000
6.392 4.193 0.000
-4.677 0.000 9.007
P W O
8 2 24
Cartesian
-0.989 0.141 6.172
1.349 -0.141 1.668
1.798 2.155 8.723
3.970 2.155 4.787
4.136 -2.155 4.220
6.308 -2.155 0.284
6.757 0.141 7.339
9.095 -0.141 2.835
3.196 2.097 0.000
0.857 -2.097 4.503
1.612 3.397 7.639
2.848 2.798 3.803
-1.099 0.613 7.602
4.156 3.397 5.872
5.161 2.150 0.543
2.642 0.572 1.348
7.597 2.798 0.701
1.239 -0.613 3.099
5.283 2.150 3.961
0.304 -0.572 5.852
3.455 0.962 5.432
2.313 0.962 8.079
5.793 -0.962 0.928
4.651 -0.962 3.575
7.802 0.572 3.155
2.823 -2.150 5.046
6.867 0.613 5.908
0.509 -2.798 8.306
5.464 -0.572 7.659
2.945 -2.150 8.464
3.951 -3.397 3.135
9.206 -0.613 1.405
5.259 -2.798 5.204
6.494 -3.397 1.368
```

Main lines, in order of rising 2θ (10° ≤ 2θ ≤ 90°):
6.288 Å, intensity 100; 4.804 Å, intensity 73; 4.503 Å, intensity 33; 3.796 Å, intensity 48; 3.142 Å, intensity 32; 3.070 Å, intensity 72